Calculated powder diffraction line list
Compound: SrFe2S2O
Radiation: copper Kα
Structure: a DFT-relaxed cell (PBE+U, Alexandria)

The 6 most intense peaks (10 to 80 degrees two-theta), most intense first:
(hkl)	d [Å]	I/Imax
2 1 0	3.915	100
3 0 1	2.522	100
1 1 1	3.194	94
1 2 1	2.430	48
2 2 0	2.706	35
3 3 1	1.641	33

Crystal structure
Unit cell a=9.8189 b=6.4871 c=3.9555 alpha=90.00 beta=90.00 gamma=90.00
Sites, in units of the cell vectors:
Sr1 0.0000 0.0275 0.0000
Sr2 0.5000 0.9725 0.5000
Fe1 0.1691 0.6376 0.4864
Fe2 0.3309 0.3624 0.9864
Fe3 0.6691 0.3624 0.9864
Fe4 0.8309 0.6376 0.4864
S1 0.1980 0.2613 0.4951
S2 0.3020 0.7387 0.9951
S3 0.6980 0.7387 0.9951
S4 0.8020 0.2613 0.4951
O1 0.0000 0.7929 0.5054
O2 0.5000 0.2071 0.0054

---

Calculated powder diffraction line list
Compound: Sr2FeSO3
Radiation: copper Kα
Structure: a DFT-relaxed cell (PBE+U, Alexandria)

The 6 most intense peaks (10 to 80 degrees two-theta), most intense first:
(hkl)	d [Å]	I/Imax
1 1 0	2.826	100
1 0 4	2.627	58
2 0 0	1.998	55
1 0 3	3.030	55
1 1 4	2.195	38
1 0 5	2.287	32

Crystal structure
Unit cell a=3.9965 b=3.9965 c=13.9426 alpha=90.00 beta=90.00 gamma=90.00
Sites, in units of the cell vectors:
Sr1 0.2500 0.2500 0.0979
Sr2 0.2500 0.2500 0.3569
Sr3 0.7500 0.7500 0.6431
Sr4 0.7500 0.7500 0.9021
Fe1 0.2500 0.2500 0.7821
Fe2 0.7500 0.7500 0.2179
S1 0.2500 0.2500 0.5852
S2 0.7500 0.7500 0.4148
O1 0.2500 0.2500 0.9209
O2 0.2500 0.7500 0.2292
O3 0.2500 0.7500 0.7708
O4 0.7500 0.2500 0.2292
O5 0.7500 0.2500 0.7708
O6 0.7500 0.7500 0.0791

---

Calculated powder diffraction line list
Compound: FeSbO4
Radiation: copper Kα
Structure: a DFT-relaxed cell (PBE+U, Alexandria)

The 6 most intense peaks (10 to 80 degrees two-theta), most intense first:
(hkl)	d [Å]	I/Imax
1 1 1	2.942	100
0 1 1	3.596	54
1 2 2	1.696	31
1 0 2	2.486	27
2 1 1	2.085	20
2 2 0	1.719	20

Crystal structure
Unit cell a=5.1198 b=4.6403 c=5.6880 alpha=90.00 beta=90.00 gamma=90.00
Sites, in units of the cell vectors:
Fe1 0.0000 0.0000 0.0000
Fe2 0.0000 0.5000 0.5000
Sb1 0.5000 0.0000 0.3094
Sb2 0.5000 0.5000 0.8094
O1 0.1764 0.2269 0.2637
O2 0.1764 0.2731 0.7637
O3 0.3290 0.7317 0.5408
O4 0.3290 0.7683 0.0408
O5 0.6710 0.2317 0.0408
O6 0.6710 0.2683 0.5408
O7 0.8236 0.7269 0.7637
O8 0.8236 0.7731 0.2637

---

Calculated powder diffraction line list
Compound: FeSb2O4
Radiation: copper Kα
Structure: a DFT-relaxed cell (PBE+U, Alexandria)

The 6 most intense peaks (10 to 80 degrees two-theta), most intense first:
(hkl)	d [Å]	I/Imax
2 1 1	3.295	100
4 1 1	2.008	35
3 3 2	1.709	24
2 0 2	2.494	23
3 1 0	2.775	21
2 1 3	1.797	17

Crystal structure
Unit cell a=8.7761 b=8.7761 c=6.0630 alpha=90.00 beta=90.00 gamma=90.00
Sites, in units of the cell vectors:
Fe1 0.0000 0.5000 0.2500
Fe2 0.0000 0.5000 0.7500
Fe3 0.5000 0.0000 0.2500
Fe4 0.5000 0.0000 0.7500
Sb1 0.1673 0.1775 0.0000
Sb2 0.1775 0.8327 0.5000
Sb3 0.3225 0.3327 0.5000
Sb4 0.3327 0.6775 0.0000
Sb5 0.6673 0.3225 0.0000
Sb6 0.6775 0.6673 0.5000
Sb7 0.8225 0.1673 0.5000
Sb8 0.8327 0.8225 0.0000
O1 0.1004 0.3616 0.5000
O2 0.1384 0.3996 0.0000
O3 0.1794 0.6794 0.2500
O4 0.1794 0.6794 0.7500
O5 0.3206 0.1794 0.2500
O6 0.3206 0.1794 0.7500
O7 0.3616 0.8996 0.0000
O8 0.3996 0.8616 0.5000
O9 0.6004 0.1384 0.5000
O10 0.6384 0.1004 0.0000
O11 0.6794 0.8206 0.2500
O12 0.6794 0.8206 0.7500
O13 0.8206 0.3206 0.2500
O14 0.8206 0.3206 0.7500
O15 0.8616 0.6004 0.0000
O16 0.8996 0.6384 0.5000